No. 1
The following is a theoretical XRD peak list of Rb3Ag3Sn8. It was derived from a GGA-PBE-relaxed structure, using λ = 1.5418 Å (Cu Kα).
Peak positions follow from Bragg's law for the DFT cell and can differ from measured ones.

Most intense lines, 2θ = 10–90°, sorted by position:
d 5.597, 2θ 15.8, intensity 21.1
d 2.993, 2θ 29.8, intensity 35.3
d 2.979, 2θ 30.0, intensity 90.0
d 2.968, 2θ 30.1, intensity 100.0
d 2.869, 2θ 31.2, intensity 33.2
d 2.775, 2θ 32.3, intensity 65.0
d 2.507, 2θ 35.8, intensity 81.1
d 2.457, 2θ 36.6, intensity 50.6
d 2.410, 2θ 37.3, intensity 37.6
d 2.319, 2θ 38.8, intensity 31.5
d 2.213, 2θ 40.8, intensity 22.5
d 1.755, 2θ 52.1, intensity 37.0

Cell and atoms:
Cell lengths 9.5667, 9.5667, 11.1938 Å; angles 125.52, 125.52, 30.39 degrees
Element x y z (fractional)
Rb: 0.0000 0.0000 0.0000
Rb: 0.3004 0.3004 0.3019
Rb: 0.6996 0.6996 0.6981
Ag: 0.0000 0.0000 0.5000
Ag: 0.3360 0.3360 0.6908
Ag: 0.6640 0.6640 0.3092
Sn: 0.1420 0.1420 0.4262
Sn: 0.1566 0.1566 0.8772
Sn: 0.3510 0.3510 0.9721
Sn: 0.4931 0.4931 0.6867
Sn: 0.5069 0.5069 0.3133
Sn: 0.6490 0.6490 0.0279
Sn: 0.8434 0.8434 0.1228
Sn: 0.8580 0.8580 0.5738

No. 2
The following is a theoretical XRD peak list of RbAg2Sn10. It was derived from a GGA-PBE-relaxed structure, using λ = 1.5418 Å (Cu Kα).
Peak positions follow from Bragg's law for the DFT cell and can differ from measured ones.

Most intense lines, 2θ = 10–90°, sorted by position:
d 8.276, 2θ 10.7, intensity 25.4
d 3.123, 2θ 28.6, intensity 45.2
d 2.859, 2θ 31.3, intensity 75.7
d 2.715, 2θ 33.0, intensity 97.9
d 2.684, 2θ 33.4, intensity 100.0
d 2.576, 2θ 34.8, intensity 79.7
d 2.493, 2θ 36.0, intensity 38.9
d 2.475, 2θ 36.3, intensity 61.5
d 2.358, 2θ 38.2, intensity 31.8
d 2.343, 2θ 38.4, intensity 66.6
d 2.303, 2θ 39.1, intensity 31.1
d 1.561, 2θ 59.2, intensity 35.0

Cell and atoms:
Cell lengths 10.9654, 8.8332, 7.8289 Å; angles 82.07, 52.93, 45.00 degrees
Element x y z (fractional)
Rb: 0.0000 0.0000 0.0000
Ag: 0.0000 0.5000 0.0000
Ag: 0.5000 0.0000 0.5000
Sn: 0.0000 0.0000 0.5000
Sn: 0.0130 0.3540 0.6460
Sn: 0.2711 0.4872 0.5128
Sn: 0.3540 0.0130 0.9870
Sn: 0.4872 0.2711 0.7289
Sn: 0.5000 0.5000 0.0000
Sn: 0.5128 0.7289 0.2711
Sn: 0.6460 0.9870 0.0130
Sn: 0.7289 0.5128 0.4872
Sn: 0.9870 0.6460 0.3540

No. 3
The following is a theoretical XRD peak list of Rb4Th3AgTe8. It was derived from a GGA-PBE-relaxed structure, using λ = 1.5418 Å (Cu Kα).
Peak positions follow from Bragg's law for the DFT cell and can differ from measured ones.

Most intense lines, 2θ = 10–90°, sorted by position:
d 8.557, 2θ 10.3, intensity 33.9
d 3.384, 2θ 26.3, intensity 100.0
d 2.698, 2θ 33.2, intensity 15.0
d 2.499, 2θ 35.9, intensity 35.2
d 2.299, 2θ 39.2, intensity 37.6
d 2.221, 2θ 40.6, intensity 8.1
d 2.014, 2θ 45.0, intensity 9.8
d 1.902, 2θ 47.8, intensity 19.7
d 1.692, 2θ 54.2, intensity 10.8
d 1.566, 2θ 59.0, intensity 11.4
d 1.466, 2θ 63.5, intensity 16.8
d 1.363, 2θ 68.9, intensity 10.6

Cell and atoms:
Cell lengths 9.2011, 9.2011, 10.0745 Å; angles 117.21, 117.21, 59.93 degrees
Element x y z (fractional)
Rb: 0.0000 0.0000 0.0000
Rb: 0.0000 0.5000 0.0000
Rb: 0.5000 0.0000 0.0000
Rb: 0.5000 0.5000 0.0000
Th: 0.0000 0.0000 0.5000
Th: 0.0000 0.5000 0.5000
Th: 0.5000 0.0000 0.5000
Ag: 0.5000 0.5000 0.5000
Te: 0.2314 0.7342 0.7000
Te: 0.2362 0.2362 0.7089
Te: 0.2649 0.2649 0.2992
Te: 0.2658 0.7686 0.3000
Te: 0.7342 0.2314 0.7000
Te: 0.7351 0.7351 0.7008
Te: 0.7638 0.7638 0.2911
Te: 0.7686 0.2658 0.3000

No. 4
The following is a theoretical XRD peak list of RbTlAgTe2. It was derived from a GGA-PBE-relaxed structure, using λ = 1.5418 Å (Cu Kα).
Peak positions follow from Bragg's law for the DFT cell and can differ from measured ones.

Most intense lines, 2θ = 10–90°, sorted by position:
d 7.615, 2θ 11.6, intensity 90.5
d 4.735, 2θ 18.7, intensity 29.1
d 3.556, 2θ 25.0, intensity 89.4
d 3.198, 2θ 27.9, intensity 55.4
d 3.135, 2θ 28.5, intensity 100.0
d 2.948, 2θ 30.3, intensity 92.7
d 2.599, 2θ 34.5, intensity 59.5
d 2.552, 2θ 35.2, intensity 71.4
d 2.491, 2θ 36.1, intensity 53.5
d 2.449, 2θ 36.7, intensity 60.7
d 1.988, 2θ 45.6, intensity 29.5
d 1.904, 2θ 47.8, intensity 27.1

Cell and atoms:
Cell lengths 8.4283, 8.4283, 6.8797 Å; angles 90.00, 90.00, 129.25 degrees
Element x y z (fractional)
Rb: 0.2500 0.7500 0.7546
Rb: 0.7500 0.2500 0.2454
Tl: 0.2500 0.2500 0.5000
Tl: 0.7500 0.7500 0.5000
Ag: 0.0000 0.0000 0.0000
Ag: 0.5000 0.5000 0.0000
Te: 0.1319 0.8681 0.2561
Te: 0.3681 0.6319 0.2561
Te: 0.6319 0.3681 0.7439
Te: 0.8681 0.1319 0.7439

No. 5
The following is a theoretical XRD peak list of RbYAgTe2. It was derived from a GGA-PBE-relaxed structure, using λ = 1.5418 Å (Cu Kα).
Peak positions follow from Bragg's law for the DFT cell and can differ from measured ones.

Most intense lines, 2θ = 10–90°, sorted by position:
d 8.493, 2θ 10.4, intensity 73.1
d 4.391, 2θ 20.2, intensity 33.8
d 3.183, 2θ 28.0, intensity 98.1
d 3.073, 2θ 29.1, intensity 40.3
d 3.037, 2θ 29.4, intensity 100.0
d 3.019, 2θ 29.6, intensity 67.1
d 2.589, 2θ 34.6, intensity 58.7
d 2.565, 2θ 35.0, intensity 57.6
d 2.404, 2θ 37.4, intensity 45.3
d 2.196, 2θ 41.1, intensity 46.4
d 2.143, 2θ 42.2, intensity 31.3
d 2.123, 2θ 42.6, intensity 70.5

Cell and atoms:
Cell lengths 8.4937, 4.8081, 8.7832 Å; angles 90.00, 90.77, 90.00 degrees
Element x y z (fractional)
Rb: 0.0000 0.0130 0.2500
Rb: 0.0000 0.9870 0.7500
Y: 0.5000 0.5004 0.2500
Y: 0.5000 0.4996 0.7500
Ag: 0.5000 0.0000 0.0000
Ag: 0.5000 0.0000 0.5000
Te: 0.2563 0.4237 0.9970
Te: 0.2563 0.5763 0.4970
Te: 0.7437 0.4237 0.5030
Te: 0.7437 0.5763 0.0030

No. 6
The following is a theoretical XRD peak list of RbZrAgTe4. It was derived from a GGA-PBE-relaxed structure, using λ = 1.5418 Å (Cu Kα).
Peak positions follow from Bragg's law for the DFT cell and can differ from measured ones.

Most intense lines, 2θ = 10–90°, sorted by position:
d 5.229, 2θ 17.0, intensity 26.3
d 3.484, 2θ 25.6, intensity 21.0
d 3.091, 2θ 28.9, intensity 61.1
d 3.032, 2θ 29.5, intensity 58.4
d 2.824, 2θ 31.7, intensity 100.0
d 2.632, 2θ 34.1, intensity 37.4
d 2.333, 2θ 38.6, intensity 30.5
d 2.321, 2θ 38.8, intensity 23.7
d 2.291, 2θ 39.3, intensity 23.2
d 2.017, 2θ 44.9, intensity 35.3
d 1.710, 2θ 53.6, intensity 21.7
d 1.592, 2θ 57.9, intensity 20.9

Cell and atoms:
Cell lengths 7.6074, 6.1586, 10.5360 Å; angles 90.00, 110.01, 90.00 degrees
Element x y z (fractional)
Rb: 0.1688 0.2500 0.4512
Rb: 0.8312 0.7500 0.5488
Zr: 0.2812 0.7500 0.0622
Zr: 0.7188 0.2500 0.9378
Ag: 0.0315 0.2500 0.8010
Ag: 0.9685 0.7500 0.1990
Te: 0.1345 0.2500 0.0826
Te: 0.3306 0.7500 0.3492
Te: 0.3494 0.5131 0.8229
Te: 0.3494 0.9869 0.8229
Te: 0.6506 0.0131 0.1771
Te: 0.6506 0.4869 0.1771
Te: 0.6694 0.2500 0.6508
Te: 0.8655 0.7500 0.9174

No. 7
The following is a theoretical XRD peak list of RbTl3Ag. It was derived from a GGA-PBE-relaxed structure, using λ = 1.5418 Å (Cu Kα).
Peak positions follow from Bragg's law for the DFT cell and can differ from measured ones.

Most intense lines, 2θ = 10–90°, sorted by position:
d 4.693, 2θ 18.9, intensity 20.4
d 3.622, 2θ 24.6, intensity 14.4
d 3.080, 2θ 29.0, intensity 39.1
d 2.914, 2θ 30.7, intensity 100.0
d 2.879, 2θ 31.1, intensity 44.0
d 2.834, 2θ 31.6, intensity 15.3
d 2.595, 2θ 34.6, intensity 28.6
d 2.346, 2θ 38.4, intensity 14.0
d 2.299, 2θ 39.2, intensity 23.5
d 2.248, 2θ 40.1, intensity 24.7
d 1.984, 2θ 45.7, intensity 17.3
d 1.508, 2θ 61.5, intensity 17.7

Cell and atoms:
Cell lengths 6.1601, 7.2433, 7.4373 Å; angles 90.00, 90.05, 90.00 degrees
Element x y z (fractional)
Rb: 0.2020 0.0000 0.2499
Rb: 0.7980 0.5000 0.7501
Tl: 0.2183 0.8392 0.7499
Tl: 0.2912 0.5030 0.4640
Tl: 0.2921 0.5027 0.0358
Tl: 0.7079 0.0027 0.9642
Tl: 0.7088 0.0030 0.5360
Tl: 0.7817 0.3392 0.2501
Ag: 0.3441 0.2228 0.7499
Ag: 0.6559 0.7228 0.2501

No. 8
The following is a theoretical XRD peak list of RbTl2Ag2. It was derived from a GGA-PBE-relaxed structure, using λ = 1.5418 Å (Cu Kα).
Peak positions follow from Bragg's law for the DFT cell and can differ from measured ones.

Most intense lines, 2θ = 10–90°, sorted by position:
d 5.621, 2θ 15.8, intensity 19.0
d 5.362, 2θ 16.5, intensity 18.7
d 3.202, 2θ 27.9, intensity 24.2
d 3.022, 2θ 29.6, intensity 100.0
d 2.747, 2θ 32.6, intensity 22.9
d 2.730, 2θ 32.8, intensity 25.2
d 2.707, 2θ 33.1, intensity 25.9
d 2.422, 2θ 37.1, intensity 20.5
d 2.413, 2θ 37.3, intensity 25.7
d 2.281, 2θ 39.5, intensity 22.7
d 2.256, 2θ 40.0, intensity 22.8
d 2.152, 2θ 42.0, intensity 21.6

Cell and atoms:
Cell lengths 6.6287, 7.2427, 8.1401 Å; angles 72.35, 66.04, 63.40 degrees
Element x y z (fractional)
Rb: 0.1175 0.2510 0.2531
Rb: 0.8825 0.7490 0.7469
Tl: 0.1680 0.1432 0.7942
Tl: 0.4057 0.6457 0.2884
Tl: 0.5943 0.3543 0.7116
Tl: 0.8320 0.8568 0.2058
Ag: 0.3185 0.6907 0.9475
Ag: 0.4545 0.8081 0.5570
Ag: 0.5455 0.1919 0.4430
Ag: 0.6815 0.3093 0.0525